This entry pairs a crystal structure of LaThOsCl with its simulated powder XRD pattern. Radiation: Cu Kα X-rays. Structure: a cell relaxed with GGA-PBE.
Intensities are scaled so that the largest is 100.

Main lines, by angle (2θ from 5° to 70°):
2θ (°), I (rel.), index
11.31, 89, 0 0 3
25.96, 42, 0 1 2
31.38, 100, 0 1 5
36.69, 18, 1 0 7
39.69, 17, 0 1 8
43.68, 43, 1 1 0
45.27, 20, 1 1 3
46.23, 30, 1 0 10
54.77, 21, 2 0 5
65.49, 11, 0 2 10

Crystal structure
Cell lengths 4.1442, 4.1442, 23.4607 Å; angles 90.00, 90.00, 120.00 degrees
Space group R3m (No. 160, hexagonal axes)
Inequivalent atoms, fractional coordinates:
La 0.0000 0.0000 0.0000 [3 per cell]
Th 0.0000 0.0000 0.7964 [3 per cell]
Os 0.0000 0.0000 0.4031 [3 per cell]
Cl 0.0000 0.0000 0.2300 [3 per cell]